The following is a theoretical PXRD pattern of Ni5Pt7. It was derived from a crystal structure in Alexandria, relaxed with GGA-PBE, using λ = 1.5418 Å (Cu Kα).
Neutral-atom scattering factors, no anomalous dispersion.

Crystal structure
abc: 7.147 7.147 4.690
angles: 90.44 90.44 44.29
Sites, in units of the cell vectors:
Ni 0.000 0.000 0.000
Ni 0.163 0.170 0.331
Ni 0.582 0.083 0.165
Ni 0.830 0.837 0.669
Ni 0.917 0.418 0.835
Pt 0.072 0.592 0.155
Pt 0.246 0.754 0.500
Pt 0.330 0.327 0.657
Pt 0.408 0.928 0.845
Pt 0.511 0.489 0.000
Pt 0.673 0.670 0.343
Pt 0.761 0.239 0.500

Principal peaks in the range 2θ from 10° to 80°, in order of rising 2θ:
- 17.8 deg, intensity 8
- 26.1 deg, intensity 14
- 32.3 deg, intensity 3
- 32.5 deg, intensity 5
- 40.9 deg, intensity 100
- 47.3 deg, intensity 17
- 47.7 deg, intensity 32
- 55.2 deg, intensity 3
- 69.5 deg, intensity 21
- 69.8 deg, intensity 10